This entry pairs a crystal structure of LiMnO2 with its simulated powder X-ray diffraction pattern. Radiation: Cu Kα (λ = 1.5418 Å). Structure: a structure optimized by DFT (PBE+U).

Crystal structure
a b c (Å): 5.262 5.865 7.353
angles (deg): 90.78 93.45 90.67
Fractional positions:
Li1 0.097 0.378 0.323
Li2 0.267 0.626 0.990
Li3 0.402 0.873 0.674
Li4 0.598 0.127 0.326
Li5 0.733 0.374 0.010
Li6 0.903 0.622 0.677
Mn1 0.091 0.878 0.334
Mn2 0.252 0.140 0.006
Mn3 0.415 0.384 0.671
Mn4 0.585 0.616 0.329
Mn5 0.748 0.860 0.994
Mn6 0.909 0.122 0.666
O1 0.087 0.905 0.834
O2 0.129 0.374 0.833
O3 0.220 0.146 0.521
O4 0.279 0.645 0.475
O5 0.384 0.892 0.167
O6 0.411 0.374 0.169
O7 0.589 0.626 0.831
O8 0.616 0.108 0.833
O9 0.721 0.355 0.525
O10 0.780 0.854 0.479
O11 0.871 0.626 0.167
O12 0.913 0.095 0.166

Largest 12 diffraction maxima, in order of rising 2θ, 2θ from 10° to 90°:
- 19.51°, I = 96
- 22.59°, I = 91
- 26.52°, I = 57
- 28.51°, I = 42
- 36.77°, I = 30
- 41.04°, I = 100
- 43.28°, I = 89
- 44.12°, I = 83
- 61.00°, I = 26
- 61.34°, I = 25
- 62.09°, I = 24
- 63.59°, I = 24